[1]
Starting from a GGA-PBE-relaxed structure, the powder X-ray diffraction pattern of HoAg3Au7 was computed for λ = 1.5418 Å (Cu Kα).
Intensities are scaled so that the largest is 100.

Structural model:
```
data_HoAg3Au7
_chemical_formula_sum 'Ho2 Ag6 Au14'
_cell_length_a 8.493
_cell_length_b 10.103
_cell_length_c 5.725
_cell_angle_alpha 90.00
_cell_angle_beta 111.47
_cell_angle_gamma 90.00
_space_group_name_H-M_alt 'C 1 2/m 1'
_space_group_IT_number 12
loop_
_space_group_symop_operation_xyz
'x,y,z'
'-x,-y,-z'
'-x,y,-z'
'x,-y,z'
'x+1/2,y+1/2,z'
'-x+1/2,-y+1/2,-z'
'-x+1/2,y+1/2,-z'
'x+1/2,-y+1/2,z'
loop_
_atom_site_label
_atom_site_type_symbol
_atom_site_fract_x
_atom_site_fract_y
_atom_site_fract_z
Ho1 Ho 0.000 0.000 0.000
Ag1 Ag 0.000 0.268 0.500
Ag2 Ag 0.000 0.500 0.000
Au1 Au 0.000 0.000 0.500
Au2 Au 0.170 0.257 0.169
Au3 Au 0.185 0.500 0.547
```

Largest 10 diffraction maxima, by intensity, 10° ≤ 2θ ≤ 90°:
2θ = 37.4°, rel. 100.0, (2 2 1)
2θ = 35.5°, rel. 99.9, (0 4 0)
2θ = 33.0°, rel. 69.7, (2 0 -2)
2θ = 38.2°, rel. 46.6, (0 2 2)
2θ = 49.3°, rel. 43.1, (2 4 -2)
2θ = 46.4°, rel. 39.8, (4 2 -1)
2θ = 24.3°, rel. 31.0, (0 2 1)
2θ = 35.2°, rel. 22.9, (3 1 0)
2θ = 65.1°, rel. 20.5, (2 6 1)
2θ = 37.6°, rel. 17.7, (2 2 -2)


[2]
Starting from a GGA-PBE-relaxed structure, the powder X-ray diffraction pattern of Ho3Ag4Au2 was computed for λ = 1.5418 Å (Cu Kα).
Intensities are scaled so that the largest is 100.

Structural model:
```
data_Ho3Ag4Au2
_chemical_formula_sum 'Ho12 Ag16 Au8'
_cell_length_a 13.924
_cell_length_b 10.845
_cell_length_c 5.280
_cell_angle_alpha 90.00
_cell_angle_beta 100.96
_cell_angle_gamma 90.00
_space_group_name_H-M_alt 'C 1 2/c 1'
_space_group_IT_number 15
loop_
_space_group_symop_operation_xyz
'x,y,z'
'-x,-y,-z'
'-x,y,-z+1/2'
'x,-y,z+1/2'
'x+1/2,y+1/2,z'
'-x+1/2,-y+1/2,-z'
'-x+1/2,y+1/2,-z+1/2'
'x+1/2,-y+1/2,z+1/2'
loop_
_atom_site_label
_atom_site_type_symbol
_atom_site_fract_x
_atom_site_fract_y
_atom_site_fract_z
Ho1 Ho 0.000 0.119 0.250
Ho2 Ho 0.169 0.372 0.074
Ag1 Ag 0.057 0.378 0.517
Ag2 Ag 0.223 0.125 0.372
Au1 Au 0.112 0.130 0.815
```

Largest 10 diffraction maxima, by intensity, 10° ≤ 2θ ≤ 90°:
2θ = 35.0°, rel. 100.0, (5 1 -1)
2θ = 38.0°, rel. 81.0, (4 2 1)
2θ = 33.0°, rel. 58.9, (0 4 0)
2θ = 42.4°, rel. 58.3, (1 3 -2)
2θ = 54.8°, rel. 27.0, (5 5 -1)
2θ = 62.3°, rel. 18.2, (4 6 1)
2θ = 63.4°, rel. 17.1, (6 2 -3)
2θ = 70.5°, rel. 12.8, (1 7 -2)
2θ = 71.7°, rel. 12.1, (8 0 2)
2θ = 61.7°, rel. 9.5, (9 1 0)


[3]
Starting from a GGA-PBE-relaxed structure, the powder X-ray diffraction pattern of HoAg2Au was computed for λ = 1.5418 Å (Cu Kα).
Intensities are scaled so that the largest is 100.

Structural model:
```
data_HoAg2Au
_chemical_formula_sum 'Ho4 Ag8 Au4'
_cell_length_a 4.191
_cell_length_b 10.082
_cell_length_c 8.064
_cell_angle_alpha 90.00
_cell_angle_beta 90.00
_cell_angle_gamma 90.00
_space_group_name_H-M_alt 'C m c m'
_space_group_IT_number 63
_space_group_name_Hall '-C 2c 2'
loop_
_atom_site_label
_atom_site_type_symbol
_atom_site_fract_x
_atom_site_fract_y
_atom_site_fract_z
Ho1 Ho 0.000 0.060 0.250
Ag1 Ag 0.000 0.370 0.056
Au1 Au 0.000 0.235 0.750
```

Largest 10 diffraction maxima, by intensity, 10° ≤ 2θ ≤ 90°:
2θ = 36.0°, rel. 100.0, (1 3 1)
2θ = 32.1°, rel. 75.5, (1 1 2)
2θ = 40.9°, rel. 37.0, (1 1 3)
2θ = 43.2°, rel. 34.5, (2 0 0)
2θ = 42.3°, rel. 28.0, (0 4 2)
2θ = 68.3°, rel. 23.3, (1 3 5)
2θ = 37.9°, rel. 20.9, (0 2 3)
2θ = 22.0°, rel. 19.9, (0 0 2)
2θ = 37.4°, rel. 18.5, (0 4 1)
2θ = 62.0°, rel. 17.7, (2 4 2)


[4]
Starting from a GGA-PBE-relaxed structure, the powder X-ray diffraction pattern of TbHoAgAu was computed for λ = 1.5418 Å (Cu Kα).
Intensities are scaled so that the largest is 100.

Structural model:
```
data_TbHoAgAu
_chemical_formula_sum 'Tb1 Ho1 Ag1 Au1'
_cell_length_a 3.601
_cell_length_b 3.601
_cell_length_c 7.286
_cell_angle_alpha 90.00
_cell_angle_beta 90.00
_cell_angle_gamma 90.00
_space_group_name_H-M_alt 'P 4 m m'
_space_group_IT_number 99
loop_
_space_group_symop_operation_xyz
'x,y,z'
'-y,x,z'
'-x,-y,z'
'y,-x,z'
'-x,y,z'
'y,x,z'
'x,-y,z'
'-y,-x,z'
loop_
_atom_site_label
_atom_site_type_symbol
_atom_site_fract_x
_atom_site_fract_y
_atom_site_fract_z
Tb1 Tb 0.000 0.000 0.000
Ho1 Ho 0.000 0.000 0.511
Ag1 Ag 0.500 0.500 0.261
Au1 Au 0.500 0.500 0.749
```

Largest 10 diffraction maxima, by intensity, 10° ≤ 2θ ≤ 90°:
2θ = 35.0°, rel. 100.0, (1 0 2)
2θ = 35.2°, rel. 49.4, (1 1 0)
2θ = 63.1°, rel. 36.1, (2 1 2)
2θ = 62.7°, rel. 18.2, (1 1 4)
2θ = 50.7°, rel. 17.6, (2 0 0)
2θ = 74.0°, rel. 11.2, (2 0 4)
2θ = 50.1°, rel. 9.0, (0 0 4)
2θ = 85.2°, rel. 8.1, (3 1 0)
2θ = 85.1°, rel. 8.1, (3 0 2)
2θ = 84.1°, rel. 8.0, (1 0 6)